Record 1
Computed powder diffraction line list
Compound: Pr2Sm3Ga2
Radiation: Cu Kα
Structure: a structure optimized by DFT (PBE)
Neutral-atom scattering factors, no anomalous dispersion.

Cell and atoms:
abc: 12.3186 4.2537 8.8237
angles: 90.00 113.43 90.00
Space group C2/m (No. 12)
Symmetry-distinct sites (fractional):
Pr (0.1526, 0.0000, 0.3123) (multiplicity 4)
Sm (0.0000, 0.5000, 0.5000) (multiplicity 2)
Sm (0.1224, 0.5000, 0.9401) (multiplicity 4)
Ga (0.1694, 0.0000, 0.7156) (multiplicity 4)

Principal peaks in the range 2θ from 10° to 80°, sorted by position:
d_spacing  Rel. int.  index
3.061  57  1 1 -2
2.950  100  3 1 -1
2.930  43  2 0 -3
2.823  52  4 0 0
2.805  45  2 0 2
2.658  51  1 1 2

=====

Record 2
Computed powder diffraction line list
Compound: Pr3Sm2Ga3
Radiation: Cu Kα
Structure: a structure optimized by DFT (PBE)
Neutral-atom scattering factors, no anomalous dispersion.

Cell and atoms:
abc: 8.8307 8.8307 6.8632
angles: 90.00 90.00 120.00
Space group P6_3/mcm (No. 193)
Symmetry-distinct sites (fractional):
Pr (0.0000, 0.2415, 0.2500) (multiplicity 6)
Sm (0.3333, 0.6667, 0.0000) (multiplicity 4)
Ga (0.0000, 0.4065, 0.7500) (multiplicity 6)

Principal peaks in the range 2θ from 10° to 80°, sorted by position:
d_spacing  Rel. int.  index
3.131  33  1 0 2
2.891  42  2 1 0
2.709  90  1 1 2
2.664  100  2 1 1
2.550  40  3 0 0
1.670  38  4 0 2

=====

Record 3
Computed powder diffraction line list
Compound: Pr8Ga2Sn
Radiation: Cu Kα
Structure: a structure optimized by DFT (PBE)
Neutral-atom scattering factors, no anomalous dispersion.

Cell and atoms:
abc: 17.6647 5.0140 8.1700
angles: 90.00 111.27 90.00
Space group C2/m (No. 12)
Symmetry-distinct sites (fractional):
Pr (0.0492, 0.0000, 0.2420) (multiplicity 4)
Pr (0.1011, 0.5000, 0.9533) (multiplicity 4)
Pr (0.1673, 0.0000, 0.7521) (multiplicity 4)
Pr (0.1757, 0.5000, 0.4421) (multiplicity 4)
Ga (0.2130, 0.0000, 0.1681) (multiplicity 4)
Sn (0.0000, 0.5000, 0.5000) (multiplicity 2)

Principal peaks in the range 2θ from 10° to 80°, sorted by position:
d_spacing  Rel. int.  index
2.883  100  5 1 -1
2.839  85  1 1 2
2.628  33  4 0 -3
2.507  40  0 2 0
2.327  22  6 0 1
1.814  23  4 2 -3